This entry pairs a crystal structure of Er5Sn2Ru with its calculated powder diffractogram. Radiation: λ = 1.5418 Å (Cu Kα). Structure: a structure optimized by DFT (PBE).
Neutral-atom scattering factors, no anomalous dispersion.

a = 5.577 Å, b = 15.492 Å, c = 13.494 Å
α = 90.00°, β = 90.00°, γ = 90.00°
Space group Cmcm (No. 63)
Symmetry-distinct sites (fractional):
Er: 0.000 0.052 0.117 x8
Er: 0.000 0.283 0.095 x8
Er: 0.000 0.291 0.750 x4
Sn: 0.000 0.143 0.582 x8
Ru: 0.000 0.174 0.250 x4

Top 12 peaks for 10 to 90 degrees two-theta, in order of rising 2θ:
index  d [Å]  Rel. int.
0 2 0  7.746  63
1 1 0  5.248  94
0 2 3  3.890  39
1 1 3  3.415  32
0 4 3  2.935  100
1 1 4  2.838  27
2 0 0  2.789  84
1 5 3  2.320  92
0 0 6  2.249  28
2 4 3  2.022  70
2 0 6  1.751  27
3 5 3  1.503  24